The following is a theoretical XRD peak list of Sb4Te5Cl. It was derived from a GGA-PBE-relaxed structure, using CuKα.
Neutral-atom scattering factors, no anomalous dispersion.

Crystal structure
```
Sb4Te5Cl
1.0
9.051 0.000 0.000
0.000 9.799 0.000
0.000 0.000 7.741
Sb Te Cl
8 10 2
Direct
0.065 0.250 0.031 Sb
0.250 0.514 0.595 Sb
0.250 0.986 0.595 Sb
0.435 0.250 0.031 Sb
0.565 0.750 0.969 Sb
0.750 0.014 0.405 Sb
0.750 0.486 0.405 Sb
0.935 0.750 0.969 Sb
0.035 0.549 0.236 Te
0.035 0.951 0.236 Te
0.250 0.750 0.844 Te
0.465 0.549 0.236 Te
0.465 0.951 0.236 Te
0.535 0.049 0.764 Te
0.535 0.451 0.764 Te
0.750 0.250 0.156 Te
0.965 0.049 0.764 Te
0.965 0.451 0.764 Te
0.250 0.250 0.445 Cl
0.750 0.750 0.555 Cl
```

Top 10 peaks for 2θ from 10° to 90°, sorted by position:
- 21.5 deg, d = 4.140 Å, I 892
- 22.8 deg, d = 3.907 Å, I 565
- 24.5 deg, d = 3.629 Å, I 372
- 29.4 deg, d = 3.037 Å, I 576
- 29.7 deg, d = 3.009 Å, I 578
- 31.1 deg, d = 2.880 Å, I 543
- 31.8 deg, d = 2.811 Å, I 580
- 35.6 deg, d = 2.522 Å, I 1000
- 40.7 deg, d = 2.215 Å, I 468
- 52.2 deg, d = 1.752 Å, I 374


The following is a theoretical XRD peak list of Tl4SbCl6. It was derived from a GGA-PBE-relaxed structure, using CuKα.
Neutral-atom scattering factors, no anomalous dispersion.

Crystal structure
```
Tl4SbCl6
1.0
8.793 0.000 0.000
0.000 8.793 0.000
0.000 0.000 8.966
Tl Sb Cl
8 2 12
Direct
0.159 0.341 0.250 Tl
0.159 0.341 0.750 Tl
0.341 0.841 0.250 Tl
0.341 0.841 0.750 Tl
0.659 0.159 0.250 Tl
0.659 0.159 0.750 Tl
0.841 0.659 0.250 Tl
0.841 0.659 0.750 Tl
0.000 0.000 0.000 Sb
0.500 0.500 0.500 Sb
0.000 0.000 0.295 Cl
0.000 0.000 0.705 Cl
0.131 0.684 0.000 Cl
0.184 0.631 0.500 Cl
0.316 0.131 0.000 Cl
0.369 0.184 0.500 Cl
0.500 0.500 0.205 Cl
0.500 0.500 0.795 Cl
0.631 0.816 0.500 Cl
0.684 0.869 0.000 Cl
0.816 0.369 0.500 Cl
0.869 0.316 0.000 Cl
```

Top 10 peaks for 2θ from 10° to 90°, sorted by position:
- 19.8 deg, d = 4.483 Å, I 231
- 22.6 deg, d = 3.932 Å, I 493
- 30.2 deg, d = 2.956 Å, I 1000
- 32.2 deg, d = 2.781 Å, I 406
- 40.2 deg, d = 2.242 Å, I 134
- 46.6 deg, d = 1.947 Å, I 159
- 47.2 deg, d = 1.926 Å, I 182
- 48.4 deg, d = 1.881 Å, I 150
- 52.4 deg, d = 1.745 Å, I 173
- 60.3 deg, d = 1.534 Å, I 167


The following is a theoretical XRD peak list of Tl3Sb2Cl9. It was derived from a GGA-PBE-relaxed structure, using CuKα.
Neutral-atom scattering factors, no anomalous dispersion.

Crystal structure
```
Tl3Sb2Cl9
1.0
6.451 3.724 6.367
-6.451 3.724 6.367
0.000 -7.449 6.367
Tl Sb Cl
6 4 18
Direct
0.042 0.750 0.458 Tl
0.250 0.542 0.958 Tl
0.458 0.042 0.750 Tl
0.542 0.958 0.250 Tl
0.750 0.458 0.042 Tl
0.958 0.250 0.542 Tl
0.151 0.151 0.151 Sb
0.349 0.349 0.349 Sb
0.651 0.651 0.651 Sb
0.849 0.849 0.849 Sb
0.075 0.425 0.250 Cl
0.078 0.258 0.922 Cl
0.078 0.922 0.742 Cl
0.242 0.422 0.578 Cl
0.250 0.075 0.425 Cl
0.258 0.922 0.078 Cl
0.422 0.578 0.242 Cl
0.422 0.758 0.578 Cl
0.425 0.250 0.075 Cl
0.575 0.750 0.925 Cl
0.578 0.242 0.422 Cl
0.578 0.422 0.758 Cl
0.742 0.078 0.922 Cl
0.750 0.925 0.575 Cl
0.758 0.578 0.422 Cl
0.922 0.078 0.258 Cl
0.922 0.742 0.078 Cl
0.925 0.575 0.750 Cl
```

Top 10 peaks for 2θ from 10° to 90°, sorted by position:
- 12.2 deg, d = 7.260 Å, I 315
- 19.6 deg, d = 4.531 Å, I 1000
- 21.6 deg, d = 4.123 Å, I 285
- 23.9 deg, d = 3.724 Å, I 827
- 24.5 deg, d = 3.630 Å, I 256
- 28.0 deg, d = 3.183 Å, I 262
- 31.1 deg, d = 2.877 Å, I 985
- 31.3 deg, d = 2.855 Å, I 413
- 33.4 deg, d = 2.681 Å, I 234
- 39.8 deg, d = 2.266 Å, I 422


The following is a theoretical XRD peak list of YSbCl2. It was derived from a GGA-PBE-relaxed structure, using CuKα.
Neutral-atom scattering factors, no anomalous dispersion.

Crystal structure
```
YSbCl2
1.0
6.196 -1.745 0.000
6.196 1.745 0.000
-3.276 0.000 6.208
Y Sb Cl
1 1 2
Direct
0.000 0.000 0.000 Y
0.722 0.722 0.998 Sb
0.372 0.372 0.692 Cl
0.534 0.534 0.307 Cl
```

Top 10 peaks for 2θ from 10° to 90°, sorted by position:
- 14.3 deg, d = 6.208 Å, I 1000
- 28.6 deg, d = 3.122 Å, I 191
- 28.8 deg, d = 3.099 Å, I 492
- 31.9 deg, d = 2.803 Å, I 146
- 32.3 deg, d = 2.773 Å, I 264
- 33.8 deg, d = 2.656 Å, I 258
- 35.6 deg, d = 2.524 Å, I 209
- 36.7 deg, d = 2.449 Å, I 219
- 38.0 deg, d = 2.367 Å, I 190
- 42.8 deg, d = 2.112 Å, I 148


The following is a theoretical XRD peak list of ZnSb2Cl8. It was derived from a GGA-PBE-relaxed structure, using CuKα.
Neutral-atom scattering factors, no anomalous dispersion.

Crystal structure
```
ZnSb2Cl8
1.0
8.135 -4.302 0.000
8.135 4.302 0.000
-7.314 0.000 10.560
Zn Sb Cl
2 4 16
Direct
0.029 0.971 0.750 Zn
0.971 0.029 0.250 Zn
0.248 0.744 0.488 Sb
0.256 0.752 0.012 Sb
0.744 0.248 0.988 Sb
0.752 0.256 0.512 Sb
0.053 0.724 0.239 Cl
0.059 0.162 0.500 Cl
0.147 0.663 0.769 Cl
0.162 0.059 0.000 Cl
0.276 0.947 0.261 Cl
0.325 0.428 0.456 Cl
0.337 0.853 0.731 Cl
0.428 0.325 0.956 Cl
0.572 0.675 0.044 Cl
0.663 0.147 0.269 Cl
0.675 0.572 0.544 Cl
0.724 0.053 0.739 Cl
0.838 0.941 0.000 Cl
0.853 0.337 0.231 Cl
0.941 0.838 0.500 Cl
0.947 0.276 0.761 Cl
```

Top 10 peaks for 2θ from 10° to 90°, sorted by position:
- 12.2 deg, d = 7.236 Å, I 193
- 13.2 deg, d = 6.688 Å, I 1000
- 14.3 deg, d = 6.204 Å, I 221
- 24.6 deg, d = 3.618 Å, I 132
- 25.2 deg, d = 3.535 Å, I 191
- 28.4 deg, d = 3.141 Å, I 202
- 30.3 deg, d = 2.951 Å, I 516
- 34.0 deg, d = 2.640 Å, I 288
- 39.7 deg, d = 2.268 Å, I 213
- 44.7 deg, d = 2.026 Å, I 237


The following is a theoretical XRD peak list of Sc5Cl8. It was derived from a GGA-PBE-relaxed structure, using CuKα.
Neutral-atom scattering factors, no anomalous dispersion.

Crystal structure
```
Sc5Cl8
1.0
9.677 -1.778 0.000
9.677 1.778 0.000
-9.058 0.000 9.956
Sc Cl
5 8
Direct
0.000 0.000 0.000 Sc
0.108 0.108 0.614 Sc
0.487 0.487 0.653 Sc
0.513 0.513 0.347 Sc
0.892 0.892 0.386 Sc
0.025 0.025 0.217 Cl
0.319 0.319 0.435 Cl
0.339 0.339 0.203 Cl
0.377 0.377 0.900 Cl
0.623 0.623 0.100 Cl
0.661 0.661 0.797 Cl
0.681 0.681 0.565 Cl
0.975 0.975 0.783 Cl
```

Top 10 peaks for 2θ from 10° to 90°, sorted by position:
- 12.4 deg, d = 7.158 Å, I 837
- 13.2 deg, d = 6.727 Å, I 378
- 19.9 deg, d = 4.455 Å, I 239
- 27.9 deg, d = 3.200 Å, I 227
- 31.4 deg, d = 2.852 Å, I 229
- 32.1 deg, d = 2.786 Å, I 1000
- 36.1 deg, d = 2.489 Å, I 241
- 36.4 deg, d = 2.470 Å, I 289
- 37.5 deg, d = 2.400 Å, I 260
- 51.4 deg, d = 1.778 Å, I 234


The following is a theoretical XRD peak list of Sc7Cl10. It was derived from a GGA-PBE-relaxed structure, using CuKα.
Neutral-atom scattering factors, no anomalous dispersion.

Crystal structure
```
Sc7Cl10
1.0
9.907 -1.775 0.000
9.907 1.775 0.000
-0.499 0.000 12.707
Sc Cl
7 10
Direct
0.000 0.000 0.000 Sc
0.187 0.187 0.466 Sc
0.302 0.302 0.306 Sc
0.333 0.333 0.751 Sc
0.667 0.667 0.249 Sc
0.698 0.698 0.694 Sc
0.813 0.813 0.534 Sc
0.108 0.108 0.124 Cl
0.110 0.110 0.635 Cl
0.223 0.223 0.843 Cl
0.408 0.408 0.602 Cl
0.449 0.449 0.111 Cl
0.551 0.551 0.889 Cl
0.592 0.592 0.398 Cl
0.777 0.777 0.157 Cl
0.890 0.890 0.365 Cl
0.892 0.892 0.876 Cl
```

Top 10 peaks for 2θ from 10° to 90°, sorted by position:
- 11.1 deg, d = 7.962 Å, I 537
- 11.5 deg, d = 7.665 Å, I 192
- 16.3 deg, d = 5.445 Å, I 258
- 29.2 deg, d = 3.058 Å, I 224
- 32.1 deg, d = 2.785 Å, I 1000
- 36.5 deg, d = 2.464 Å, I 177
- 40.1 deg, d = 2.246 Å, I 256
- 45.7 deg, d = 1.986 Å, I 189
- 50.5 deg, d = 1.806 Å, I 183
- 51.5 deg, d = 1.775 Å, I 202


The following is a theoretical XRD peak list of ScCl3. It was derived from a GGA-PBE-relaxed structure, using CuKα.
Neutral-atom scattering factors, no anomalous dispersion.

Crystal structure
```
ScCl3
1.0
3.240 1.870 6.509
-3.240 1.870 6.509
0.000 -3.741 6.509
Sc Cl
2 6
Direct
0.167 0.167 0.167 Sc
0.833 0.833 0.833 Sc
0.059 0.427 0.794 Cl
0.206 0.941 0.573 Cl
0.427 0.794 0.059 Cl
0.573 0.206 0.941 Cl
0.794 0.059 0.427 Cl
0.941 0.573 0.206 Cl
```

Top 10 peaks for 2θ from 10° to 90°, sorted by position:
- 13.6 deg, d = 6.509 Å, I 642
- 16.4 deg, d = 5.393 Å, I 326
- 18.2 deg, d = 4.865 Å, I 202
- 30.8 deg, d = 2.900 Å, I 1000
- 39.2 deg, d = 2.296 Å, I 526
- 48.7 deg, d = 1.870 Å, I 255
- 50.6 deg, d = 1.803 Å, I 254
- 50.8 deg, d = 1.798 Å, I 93
- 58.7 deg, d = 1.572 Å, I 103
- 64.2 deg, d = 1.450 Å, I 91


Repeat the second record exactly.
The following is a theoretical XRD peak list of Tl4SbCl6. It was derived from a GGA-PBE-relaxed structure, using CuKα.
Neutral-atom scattering factors, no anomalous dispersion.

Crystal structure
```
Tl4SbCl6
1.0
8.793 0.000 0.000
0.000 8.793 0.000
0.000 0.000 8.966
Tl Sb Cl
8 2 12
Direct
0.159 0.341 0.250 Tl
0.159 0.341 0.750 Tl
0.341 0.841 0.250 Tl
0.341 0.841 0.750 Tl
0.659 0.159 0.250 Tl
0.659 0.159 0.750 Tl
0.841 0.659 0.250 Tl
0.841 0.659 0.750 Tl
0.000 0.000 0.000 Sb
0.500 0.500 0.500 Sb
0.000 0.000 0.295 Cl
0.000 0.000 0.705 Cl
0.131 0.684 0.000 Cl
0.184 0.631 0.500 Cl
0.316 0.131 0.000 Cl
0.369 0.184 0.500 Cl
0.500 0.500 0.205 Cl
0.500 0.500 0.795 Cl
0.631 0.816 0.500 Cl
0.684 0.869 0.000 Cl
0.816 0.369 0.500 Cl
0.869 0.316 0.000 Cl
```

Top 10 peaks for 2θ from 10° to 90°, sorted by position:
- 19.8 deg, d = 4.483 Å, I 231
- 22.6 deg, d = 3.932 Å, I 493
- 30.2 deg, d = 2.956 Å, I 1000
- 32.2 deg, d = 2.781 Å, I 406
- 40.2 deg, d = 2.242 Å, I 134
- 46.6 deg, d = 1.947 Å, I 159
- 47.2 deg, d = 1.926 Å, I 182
- 48.4 deg, d = 1.881 Å, I 150
- 52.4 deg, d = 1.745 Å, I 173
- 60.3 deg, d = 1.534 Å, I 167


Copy entry 3 word for word.
The following is a theoretical XRD peak list of Tl3Sb2Cl9. It was derived from a GGA-PBE-relaxed structure, using CuKα.
Neutral-atom scattering factors, no anomalous dispersion.

Crystal structure
```
Tl3Sb2Cl9
1.0
6.451 3.724 6.367
-6.451 3.724 6.367
0.000 -7.449 6.367
Tl Sb Cl
6 4 18
Direct
0.042 0.750 0.458 Tl
0.250 0.542 0.958 Tl
0.458 0.042 0.750 Tl
0.542 0.958 0.250 Tl
0.750 0.458 0.042 Tl
0.958 0.250 0.542 Tl
0.151 0.151 0.151 Sb
0.349 0.349 0.349 Sb
0.651 0.651 0.651 Sb
0.849 0.849 0.849 Sb
0.075 0.425 0.250 Cl
0.078 0.258 0.922 Cl
0.078 0.922 0.742 Cl
0.242 0.422 0.578 Cl
0.250 0.075 0.425 Cl
0.258 0.922 0.078 Cl
0.422 0.578 0.242 Cl
0.422 0.758 0.578 Cl
0.425 0.250 0.075 Cl
0.575 0.750 0.925 Cl
0.578 0.242 0.422 Cl
0.578 0.422 0.758 Cl
0.742 0.078 0.922 Cl
0.750 0.925 0.575 Cl
0.758 0.578 0.422 Cl
0.922 0.078 0.258 Cl
0.922 0.742 0.078 Cl
0.925 0.575 0.750 Cl
```

Top 10 peaks for 2θ from 10° to 90°, sorted by position:
- 12.2 deg, d = 7.260 Å, I 315
- 19.6 deg, d = 4.531 Å, I 1000
- 21.6 deg, d = 4.123 Å, I 285
- 23.9 deg, d = 3.724 Å, I 827
- 24.5 deg, d = 3.630 Å, I 256
- 28.0 deg, d = 3.183 Å, I 262
- 31.1 deg, d = 2.877 Å, I 985
- 31.3 deg, d = 2.855 Å, I 413
- 33.4 deg, d = 2.681 Å, I 234
- 39.8 deg, d = 2.266 Å, I 422